Entry 1:
Calculated PXRD pattern
Compound: Ba2TbMgSbO6
Radiation: CuKα
Structure: the PBE geometry in the Materials Project
Kinematic intensities with the Lorentz-polarization factor, no thermal factor.

Principal peaks in the range 2θ = 5–70°, by angle:
- 27.06 deg, I = 100
- 28.38 deg, I = 37
- 28.94 deg, I = 35
- 30.52 deg, I = 19
- 30.65 deg, I = 12
- 36.18 deg, I = 13
- 40.97 deg, I = 42
- 41.76 deg, I = 11
- 42.55 deg, I = 14
- 49.44 deg, I = 20
- 50.14 deg, I = 19
- 55.80 deg, I = 13

Structure:
a b c (Å): 6.6383 6.6383 6.6383
angles (deg): 124.60 123.44 83.17
Element x y z (fractional)
1 Ba 0.1928 0.1928 0.0000
2 Ba 0.8072 0.8072 0.0000
3 Tb 0.5000 0.0000 0.5000
4 Mg 0.5000 0.5000 0.0000
5 Sb 0.0000 0.5000 0.5000
6 O 0.2572 0.7572 0.5000
7 O 0.2675 0.2676 0.5351
8 O 0.2675 0.7324 0.9999
9 O 0.7325 0.2676 0.0001
10 O 0.7325 0.7324 0.4649
11 O 0.7428 0.2428 0.5000



Entry 2:
Calculated PXRD pattern
Compound: TaIr
Radiation: CuKα
Structure: the PBE geometry in the Materials Project
Kinematic intensities with the Lorentz-polarization factor, no thermal factor.

Principal peaks in the range 2θ = 5–70°, by angle:
- 36.84 deg, I = 12
- 37.54 deg, I = 28
- 38.58 deg, I = 56
- 39.02 deg, I = 61
- 39.26 deg, I = 27
- 41.34 deg, I = 100
- 41.99 deg, I = 13
- 44.98 deg, I = 37
- 45.58 deg, I = 18
- 49.89 deg, I = 12
- 64.72 deg, I = 14
- 66.13 deg, I = 20

Structure:
a b c (Å): 13.8516 2.8805 4.8644
angles (deg): 90.00 90.00 90.00
Element x y z (fractional)
1 Ta 0.0855 0.0000 0.1746
2 Ta 0.2500 0.0000 0.5512
3 Ta 0.4145 0.0000 0.1746
4 Ta 0.5855 0.0000 0.8254
5 Ta 0.7500 0.0000 0.4488
6 Ta 0.9145 0.0000 0.8254
7 Ir 0.0820 0.5000 0.6767
8 Ir 0.2500 0.5000 0.0414
9 Ir 0.4180 0.5000 0.6767
10 Ir 0.5820 0.5000 0.3233
11 Ir 0.7500 0.5000 0.9586
12 Ir 0.9180 0.5000 0.3233



Entry 3:
Calculated PXRD pattern
Compound: CsSnPS4
Radiation: CuKα
Structure: the PBE geometry in the Materials Project
Kinematic intensities with the Lorentz-polarization factor, no thermal factor.

Principal peaks in the range 2θ = 5–70°, by angle:
- 19.61 deg, I = 70
- 20.13 deg, I = 38
- 21.33 deg, I = 97
- 23.17 deg, I = 91
- 25.74 deg, I = 93
- 27.99 deg, I = 45
- 28.64 deg, I = 41
- 29.85 deg, I = 89
- 32.35 deg, I = 100
- 32.90 deg, I = 63
- 39.72 deg, I = 38
- 39.83 deg, I = 58

Structure:
a b c (Å): 18.4575 6.9218 6.3253
angles (deg): 90.00 90.00 90.00
Element x y z (fractional)
1 Cs 0.2009 0.2500 0.0726
2 Cs 0.2991 0.7500 0.5726
3 Cs 0.7009 0.2500 0.4274
4 Cs 0.7991 0.7500 0.9274
5 Sn 0.0214 0.7500 0.2843
6 Sn 0.4786 0.2500 0.7843
7 Sn 0.5214 0.7500 0.2157
8 Sn 0.9786 0.2500 0.7157
9 P 0.0948 0.7500 0.7808
10 P 0.4052 0.2500 0.2808
11 P 0.5948 0.7500 0.7192
12 P 0.9052 0.2500 0.2192
13 S 0.0147 0.2500 0.1488
14 S 0.1181 0.5093 0.6064
15 S 0.1181 0.9907 0.6064
16 S 0.1506 0.7500 0.0633
17 S 0.3494 0.2500 0.5633
18 S 0.3819 0.0093 0.1064
19 S 0.3819 0.4907 0.1064
20 S 0.4853 0.7500 0.6488
21 S 0.5147 0.2500 0.3512
22 S 0.6181 0.5093 0.8936
23 S 0.6181 0.9907 0.8936
24 S 0.6506 0.7500 0.4367
25 S 0.8494 0.2500 0.9367
26 S 0.8819 0.0093 0.3936
27 S 0.8819 0.4907 0.3936
28 S 0.9853 0.7500 0.8512



Entry 4:
Calculated PXRD pattern
Compound: KInBr3
Radiation: CuKα
Structure: the PBE geometry in the Materials Project
Kinematic intensities with the Lorentz-polarization factor, no thermal factor.

Principal peaks in the range 2θ = 5–70°, by angle:
- 15.32 deg, I = 85
- 21.72 deg, I = 19
- 26.69 deg, I = 35
- 30.91 deg, I = 100
- 34.67 deg, I = 44
- 44.28 deg, I = 70
- 47.13 deg, I = 23
- 52.46 deg, I = 13
- 54.98 deg, I = 23
- 57.43 deg, I = 12
- 64.42 deg, I = 11
- 66.66 deg, I = 12

Structure:
a b c (Å): 8.1817 8.1817 8.1817
angles (deg): 60.00 60.00 60.00
Element x y z (fractional)
1 K 0.2500 0.2500 0.2500
2 K 0.7500 0.7500 0.7500
3 In 0.0000 0.0000 0.0000
4 In 0.5000 0.5000 0.5000
5 Br 0.2359 0.2359 0.7641
6 Br 0.2359 0.7641 0.2359
7 Br 0.2359 0.7641 0.7641
8 Br 0.7641 0.2359 0.2359
9 Br 0.7641 0.2359 0.7641
10 Br 0.7641 0.7641 0.2359



Entry 5:
Calculated PXRD pattern
Compound: La3SnC
Radiation: CuKα
Structure: the PBE geometry in the Materials Project
Kinematic intensities with the Lorentz-polarization factor, no thermal factor.

Principal peaks in the range 2θ = 5–70°, by angle:
- 16.99 deg, I = 1
- 29.65 deg, I = 100
- 34.37 deg, I = 55
- 49.40 deg, I = 39
- 58.68 deg, I = 44
- 61.57 deg, I = 14

Structure:
a b c (Å): 5.2178 5.2178 5.2178
angles (deg): 90.00 90.00 90.00
Element x y z (fractional)
1 La 0.0000 0.0000 0.5000
2 La 0.0000 0.5000 0.0000
3 La 0.5000 0.0000 0.0000
4 Sn 0.5000 0.5000 0.5000
5 C 0.0000 0.0000 0.0000



Entry 6:
Calculated PXRD pattern
Compound: ScMnGe2
Radiation: CuKα
Structure: the PBE geometry in the Materials Project
Kinematic intensities with the Lorentz-polarization factor, no thermal factor.

Principal peaks in the range 2θ = 5–70°, by angle:
- 36.68 deg, I = 31
- 37.56 deg, I = 58
- 39.39 deg, I = 45
- 39.57 deg, I = 12
- 39.73 deg, I = 100
- 41.98 deg, I = 51
- 44.71 deg, I = 24
- 46.49 deg, I = 16
- 49.88 deg, I = 19
- 52.39 deg, I = 12
- 57.41 deg, I = 10
- 67.62 deg, I = 15

Structure:
a b c (Å): 9.3087 10.1586 8.1075
angles (deg): 90.00 90.00 90.00
Element x y z (fractional)
1 Sc 0.1639 0.1796 0.0000
2 Sc 0.1717 0.4530 0.2425
3 Sc 0.1717 0.4530 0.7575
4 Sc 0.3283 0.9530 0.2425
5 Sc 0.3283 0.9530 0.7575
6 Sc 0.3361 0.6796 0.0000
7 Sc 0.6639 0.3204 0.0000
8 Sc 0.6717 0.0470 0.2425
9 Sc 0.6717 0.0470 0.7575
10 Sc 0.8283 0.5470 0.2425
11 Sc 0.8283 0.5470 0.7575
12 Sc 0.8361 0.8204 0.0000
13 Mn 0.0000 0.0000 0.2466
14 Mn 0.0000 0.0000 0.7534
15 Mn 0.0848 0.7509 0.2506
16 Mn 0.0848 0.7509 0.7494
17 Mn 0.4152 0.2509 0.2506
18 Mn 0.4152 0.2509 0.7494
19 Mn 0.5000 0.5000 0.2466
20 Mn 0.5000 0.5000 0.7534
21 Mn 0.5848 0.7491 0.2506
22 Mn 0.5848 0.7491 0.7494
23 Mn 0.9152 0.2491 0.2506
24 Mn 0.9152 0.2491 0.7494
25 Ge 0.0407 0.6216 0.0000
26 Ge 0.0418 0.6220 0.5000
27 Ge 0.1249 0.9050 0.5000
28 Ge 0.1301 0.8986 0.0000
29 Ge 0.1645 0.1818 0.3402
30 Ge 0.1645 0.1818 0.6598
31 Ge 0.3355 0.6818 0.3402
32 Ge 0.3355 0.6818 0.6598
33 Ge 0.3699 0.3986 0.0000
34 Ge 0.3751 0.4050 0.5000
35 Ge 0.4582 0.1220 0.5000
36 Ge 0.4593 0.1216 0.0000
37 Ge 0.5407 0.8784 0.0000
38 Ge 0.5418 0.8780 0.5000
39 Ge 0.6249 0.5950 0.5000
40 Ge 0.6301 0.6014 0.0000
41 Ge 0.6645 0.3182 0.3402
42 Ge 0.6645 0.3182 0.6598
43 Ge 0.8355 0.8182 0.3402
44 Ge 0.8355 0.8182 0.6598
45 Ge 0.8699 0.1014 0.0000
46 Ge 0.8751 0.0950 0.5000
47 Ge 0.9582 0.3780 0.5000
48 Ge 0.9593 0.3784 0.0000



Entry 7:
Calculated PXRD pattern
Compound: YAlPt
Radiation: CuKα
Structure: the PBE geometry in the Materials Project
Kinematic intensities with the Lorentz-polarization factor, no thermal factor.

Principal peaks in the range 2θ = 5–70°, by angle:
- 25.66 deg, I = 10
- 26.41 deg, I = 100
- 33.29 deg, I = 24
- 34.75 deg, I = 74
- 40.44 deg, I = 25
- 40.50 deg, I = 27
- 42.57 deg, I = 16
- 45.69 deg, I = 27
- 48.52 deg, I = 16
- 48.99 deg, I = 17
- 54.35 deg, I = 10
- 62.68 deg, I = 13

Structure:
a b c (Å): 6.9440 4.4545 7.7309
angles (deg): 90.00 90.00 90.00
Element x y z (fractional)
1 Y 0.0285 0.2500 0.1824
2 Y 0.4715 0.7500 0.6824
3 Y 0.5285 0.2500 0.3176
4 Y 0.9715 0.7500 0.8176
5 Al 0.1491 0.2500 0.5654
6 Al 0.3509 0.7500 0.0654
7 Al 0.6491 0.2500 0.9346
8 Al 0.8509 0.7500 0.4346
9 Pt 0.2224 0.7500 0.3856
10 Pt 0.2776 0.2500 0.8856
11 Pt 0.7224 0.7500 0.1144
12 Pt 0.7776 0.2500 0.6144



Entry 8:
Calculated PXRD pattern
Compound: Na2Sr3ZrC6O21
Radiation: CuKα
Structure: the PBE geometry in the Materials Project
Kinematic intensities with the Lorentz-polarization factor, no thermal factor.

Principal peaks in the range 2θ = 5–70°, by angle:
- 12.05 deg, I = 23
- 12.18 deg, I = 31
- 13.78 deg, I = 47
- 14.69 deg, I = 31
- 20.15 deg, I = 100
- 20.35 deg, I = 59
- 21.90 deg, I = 27
- 30.13 deg, I = 49
- 30.69 deg, I = 74
- 34.47 deg, I = 29
- 34.67 deg, I = 23
- 40.30 deg, I = 24

Structure:
a b c (Å): 7.0509 8.9149 8.9507
angles (deg): 109.95 102.13 111.78
Element x y z (fractional)
1 Na 0.0000 0.0000 0.0000
2 Na 0.3165 0.3858 0.6470
3 Sr 0.2586 0.9224 0.3284
4 Sr 0.5091 0.2592 0.9782
5 Sr 0.9357 0.5696 0.6535
6 Zr 0.6494 0.7211 0.3240
7 C 0.1352 0.9512 0.6457
8 C 0.3159 0.5770 0.0140
9 C 0.4231 0.6785 0.5284
10 C 0.4983 0.3046 0.3262
11 C 0.8185 0.6205 0.9948
12 C 0.8380 0.0854 0.4160
13 O 0.1389 0.9458 0.7880
14 O 0.1771 0.5073 0.8637
15 O 0.2749 0.0935 0.6446
16 O 0.3113 0.6402 0.6152
17 O 0.3423 0.6807 0.3826
18 O 0.3589 0.1564 0.1852
19 O 0.3757 0.4799 0.0772
20 O 0.4233 0.7510 0.1246
21 O 0.5084 0.3108 0.4728
22 O 0.6312 0.7150 0.5693
23 O 0.6376 0.4442 0.3165
24 O 0.6576 0.0278 0.8775
25 O 0.6686 0.4808 0.8545
26 O 0.6799 0.9986 0.4600
27 O 0.8177 0.6294 0.1445
28 O 0.8569 0.1713 0.9263
29 O 0.8895 0.9746 0.3130
30 O 0.9140 0.3170 0.0700
31 O 0.9310 0.2549 0.4694
32 O 0.9789 0.7495 0.9940
33 O 0.9961 0.8052 0.4984



Entry 9:
Calculated PXRD pattern
Compound: KIBr2O
Radiation: CuKα
Structure: the PBE geometry in the Materials Project
Kinematic intensities with the Lorentz-polarization factor, no thermal factor.

Principal peaks in the range 2θ = 5–70°, by angle:
- 14.98 deg, I = 14
- 18.71 deg, I = 100
- 22.97 deg, I = 14
- 23.53 deg, I = 14
- 27.77 deg, I = 13
- 28.47 deg, I = 39
- 30.23 deg, I = 22
- 34.17 deg, I = 19
- 34.64 deg, I = 31
- 38.92 deg, I = 16
- 41.41 deg, I = 12
- 42.00 deg, I = 16

Structure:
a b c (Å): 11.8595 5.1785 12.8870
angles (deg): 90.00 94.28 90.00
Element x y z (fractional)
1 K 0.1676 0.0000 0.2951
2 K 0.3256 0.5000 0.7568
3 K 0.6744 0.5000 0.2432
4 K 0.8324 0.0000 0.7049
5 I 0.0000 0.5000 0.0000
6 I 0.0000 0.5000 0.5000
7 I 0.5000 0.0000 0.0000
8 I 0.5000 0.0000 0.5000
9 Br 0.0408 0.5000 0.7132
10 Br 0.2269 0.5000 0.1027
11 Br 0.2907 0.0000 0.5742
12 Br 0.4811 0.0000 0.2089
13 Br 0.5189 0.0000 0.7911
14 Br 0.7093 0.0000 0.4258
15 Br 0.7731 0.5000 0.8973
16 Br 0.9592 0.5000 0.2868
17 O 0.2363 0.5000 0.2394
18 O 0.3001 0.0000 0.7749
19 O 0.6999 0.0000 0.2251
20 O 0.7637 0.5000 0.7606